[1]
This entry pairs a crystal structure of Ho2TmHfAs4 with its simulated XRD peak list. Radiation: copper Kα. Structure: a PBE-relaxed structure.
Lines closer than 0.1° are merged.

The 10 most intense peaks (10° ≤ 2θ ≤ 80°), sorted by position:
2θ (°)	I/Imax
27.23	26
31.54	100
45.10	12
45.23	62
53.62	9
56.10	13
56.23	13
65.81	8
74.87	22
74.94	5

Atomic structure:
```
Ho2TmHfAs4
1.0
6.946 0.000 0.000
0.000 4.007 0.000
-2.294 0.000 6.559
Ho Tm Hf As
2 1 1 4
Cartesian
0.000 0.000 0.000
3.473 2.004 0.000
-1.147 2.004 3.280
2.326 0.000 3.280
0.065 0.000 4.868
1.209 2.004 1.720
3.444 2.004 4.839
4.588 0.000 1.691
```

=====

[2]
This entry pairs a crystal structure of Pm8Te4As3N with its simulated XRD peak list. Radiation: copper Kα. Structure: a PBE-relaxed structure.
Lines closer than 0.1° are merged.

The 10 most intense peaks (10° ≤ 2θ ≤ 80°), sorted by position:
2θ (°)	I/Imax
29.49	100
32.03	13
41.44	31
42.92	37
52.93	18
58.11	9
61.19	9
68.30	9
70.42	14
77.63	9

Atomic structure:
```
Pm8Te4As3N
1.0
4.214 2.433 7.242
-4.214 2.433 7.242
0.000 -4.866 7.242
Pm Te As N
8 4 3 1
Cartesian
0.000 0.000 5.216
-1.948 -1.125 12.352
0.000 -2.249 9.375
-1.948 1.125 9.375
1.948 -1.125 12.352
0.000 2.249 12.352
1.948 1.125 9.375
0.000 0.000 16.510
0.000 0.000 0.000
-2.107 -1.217 7.242
-2.107 1.217 14.484
0.000 2.433 7.242
-4.214 0.000 10.863
-2.107 1.217 3.621
2.107 1.217 3.621
0.000 0.000 10.863
```

=====

[3]
This entry pairs a crystal structure of Ba2NaRhO5 with its simulated XRD peak list. Radiation: copper Kα. Structure: a PBE-relaxed structure.
Lines closer than 0.1° are merged.

The 10 most intense peaks (10° ≤ 2θ ≤ 80°), sorted by position:
2θ (°)	I/Imax
15.76	49
28.16	28
29.29	15
30.31	100
39.59	17
41.08	26
42.73	18
45.63	14
51.20	22
57.75	15

Atomic structure:
```
Ba2NaRhO5
1.0
-1.988 3.169 6.099
1.988 -3.169 6.099
1.988 3.169 -6.099
Ba Na Rh O
2 1 1 5
Cartesian
0.000 0.000 2.674
0.000 0.000 9.523
0.000 3.169 0.000
1.988 0.000 0.000
0.000 0.000 0.000
1.988 1.402 -1.461
1.988 1.402 1.461
0.000 1.767 4.638
0.000 1.767 7.560
```